No. 1
This entry pairs a crystal structure of CaMn2Cu3Ru2O12 with its calculated powder diffraction line list. Radiation: Cu Kα (λ = 1.5418 Å). Structure: a structure optimized by DFT (GGA+U).

Principal peaks in the range 10° ≤ 2θ ≤ 90°, sorted by position:
2theta  Rel. int.
33.31  53
33.49  54
33.78  100
34.19  96
47.34  26
59.56  26

Crystal structure
Cell lengths 6.490, 6.490, 7.498 Å; angles 125.07, 125.07, 68.86 degrees
Fractional positions:
Ca: 0.000 0.000 0.000
Mn: 0.000 0.500 0.500
Mn: 0.500 0.000 0.500
Cu: 0.000 0.000 0.500
Cu: 0.500 0.500 0.000
Cu: 0.500 0.500 0.500
Ru: 0.000 0.500 0.000
Ru: 0.500 0.000 0.000
O: 0.139 0.529 0.838
O: 0.159 0.814 0.299
O: 0.186 0.841 0.701
O: 0.305 0.305 0.475
O: 0.313 0.313 0.137
O: 0.471 0.861 0.162
O: 0.529 0.139 0.838
O: 0.687 0.687 0.863
O: 0.695 0.695 0.525
O: 0.814 0.159 0.299
O: 0.841 0.186 0.701
O: 0.861 0.471 0.162

No. 2
This entry pairs a crystal structure of PrNpCo2O8 with its calculated powder diffraction line list. Radiation: Cu Kα (λ = 1.5418 Å). Structure: a structure optimized by DFT (GGA+U).

Principal peaks in the range 10° ≤ 2θ ≤ 90°, sorted by position:
2theta  Rel. int.
18.33  57
25.12  100
32.40  86
35.82  24
49.07  66
62.22  18

Crystal structure
Cell lengths 6.008, 6.008, 6.008 Å; angles 107.68, 107.68, 113.11 degrees
Fractional positions:
Pr: 0.000 0.000 0.000
Np: 0.250 0.750 0.500
Co: 0.500 0.500 0.000
Co: 0.750 0.250 0.500
O: 0.317 0.099 0.782
O: 0.317 0.535 0.218
O: 0.384 0.061 0.322
O: 0.465 0.683 0.782
O: 0.739 0.061 0.678
O: 0.901 0.683 0.218
O: 0.939 0.261 0.322
O: 0.939 0.616 0.678